Record 1
Starting from a structure optimized by DFT (PBE), the PXRD pattern of Sm4TiFe33N4 was calculated for Cu Kα (λ = 1.5418 Å).
Neutral-atom scattering factors, no anomalous dispersion.

Crystal structure
Lattice parameters (Å, degrees): 6.492 6.571 13.045 83.63 83.10 83.71
Space group P1 (No. 1)
Asymmetric unit:
Sm (0.000, 0.000, 0.000)
Sm (0.000, 0.000, 0.499)
Sm (0.309, 0.312, 0.655)
Sm (0.316, 0.319, 0.158)
Ti (0.565, 0.565, 0.782)
Fe (0.001, 0.514, 0.001)
Fe (0.001, 0.514, 0.500)
Fe (0.003, 0.999, 0.757)
Fe (0.004, 0.998, 0.256)
Fe (0.155, 0.661, 0.829)
Fe (0.158, 0.659, 0.329)
Fe (0.312, 0.319, 0.902)
Fe (0.312, 0.321, 0.401)
Fe (0.314, 0.807, 0.657)
Fe (0.315, 0.805, 0.157)
Fe (0.366, 0.660, 0.975)
Fe (0.369, 0.660, 0.473)
Fe (0.375, 0.942, 0.330)
Fe (0.375, 0.945, 0.830)
Fe (0.512, 0.999, 0.501)
Fe (0.513, 0.999, 0.002)
Fe (0.563, 0.564, 0.281)
Fe (0.655, 0.378, 0.471)
Fe (0.658, 0.159, 0.329)
Fe (0.658, 0.660, 0.079)
Fe (0.658, 0.661, 0.578)
Fe (0.659, 0.376, 0.972)
Fe (0.660, 0.156, 0.830)
Fe (0.660, 0.941, 0.187)
Fe (0.662, 0.945, 0.687)
Fe (0.753, 0.755, 0.376)
Fe (0.753, 0.756, 0.878)
Fe (0.804, 0.320, 0.157)
Fe (0.805, 0.319, 0.656)
Fe (0.941, 0.377, 0.328)
Fe (0.944, 0.377, 0.829)
Fe (0.947, 0.659, 0.185)
Fe (0.951, 0.660, 0.683)
N (0.157, 0.159, 0.829)
N (0.158, 0.160, 0.329)
N (0.657, 0.158, 0.080)
N (0.658, 0.161, 0.578)

Principal peaks in the range 2θ from 15° to 90°, by angle:
Position (°2θ)	I/Imax
29.69	40
35.91	55
37.32	40
41.41	100
41.69	33
41.87	77
42.05	71
42.13	35
42.27	35
43.35	78

Record 2
Starting from a structure optimized by DFT (PBE), the PXRD pattern of K2Na2Gd4Nb2O13 was calculated for Cu Kα (λ = 1.5418 Å).
Neutral-atom scattering factors, no anomalous dispersion.

Crystal structure
Lattice parameters (Å, degrees): 24.223 5.682 11.254 90.00 116.34 90.00
Space group C2/c (No. 15)
Asymmetric unit:
K (0.249, 0.055, 0.133)
Na (0.159, 0.460, 0.522)
Gd (0.062, 0.463, 0.672)
Gd (0.063, 0.046, 0.950)
Nb (0.150, 0.034, 0.282)
O (0.000, 0.254, 0.750)
O (0.001, 0.252, 0.477)
O (0.099, 0.230, 0.339)
O (0.130, 0.191, 0.636)
O (0.131, 0.277, 0.139)
O (0.135, 0.230, 0.877)
O (0.236, 0.067, 0.378)

Principal peaks in the range 2θ from 15° to 90°, by angle:
Position (°2θ)	I/Imax
25.27	42
25.64	39
30.14	100
30.65	92
31.49	28
31.81	35
41.60	18
45.37	41
52.65	19
55.28	28

Record 3
Starting from a structure optimized by DFT (PBE), the PXRD pattern of Al2Se3O12 was calculated for Cu Kα (λ = 1.5418 Å).
Neutral-atom scattering factors, no anomalous dispersion.

Crystal structure
Lattice parameters (Å, degrees): 9.2591 9.2591 19.8497 90.00 90.00 120.00
Space group R3c (No. 161, hexagonal axes)
Asymmetric unit:
Al (0.0000, 0.0000, 0.0000)
Al (0.0000, 0.0000, 0.2313)
Se (0.1494, 0.3797, 0.2800)
O (0.0341, 0.1656, 0.4366)
O (0.0567, 0.1890, 0.7864)
O (0.1824, 0.4707, 0.7113)
O (0.1883, 0.4774, 0.8443)

Principal peaks in the range 2θ from 15° to 90°, by angle:
Position (°2θ)	I/Imax
23.94	100
26.95	24
28.62	67
30.85	28
33.53	13
34.68	19
37.33	18
54.22	22
55.51	12
68.44	12

Record 4
Starting from a structure optimized by DFT (PBE), the PXRD pattern of Co4RuN4 was calculated for Cu Kα (λ = 1.5418 Å).
Neutral-atom scattering factors, no anomalous dispersion.

Crystal structure
Lattice parameters (Å, degrees): 4.679 4.797 8.161 89.64 75.00 73.95
Space group P-1 (No. 2)
Asymmetric unit:
Co (0.030, 0.277, 0.365)
Co (0.258, 0.240, 0.937)
Co (0.410, 0.713, 0.784)
Co (0.460, 0.247, 0.561)
Ru (0.161, 0.770, 0.226)
N (0.177, 0.642, 0.991)
N (0.237, 0.962, 0.636)
N (0.260, 0.528, 0.413)
N (0.344, 0.094, 0.142)

Principal peaks in the range 2θ from 15° to 90°, by angle:
Position (°2θ)	I/Imax
34.95	59
35.96	98
38.41	56
39.18	100
40.11	92
41.98	59
43.69	73
48.20	70
63.51	30
66.10	23